Structure and calculated X-ray powder pattern of Mg6CrSn (a structure optimized by DFT (GGA-PBE); Cu Kα X-rays).
Lines closer than 0.1° are merged.

Lattice parameters (Å, degrees): 5.0529 6.2013 10.9812 90.00 90.00 90.00
Space group Amm2 (No. 38)
Inequivalent atoms, fractional coordinates:
Mg  0.0000  0.0000  0.0000 [2 per cell]
Mg  0.0000  0.0000  0.4926 [2 per cell]
Mg  0.0000  0.2408  0.2476 [4 per cell]
Mg  0.5000  0.2487  0.5824 [4 per cell]
Cr  0.5000  0.0000  0.3330 [2 per cell]
Sn  0.5000  0.0000  0.8340 [2 per cell]

Largest 6 diffraction maxima, by angle, 2θ = 10–90°:
2θ/deg, d_spacing, I (rel.), h k l
16.14, 5.491, 37, 0 0 2
17.55, 5.053, 31, 1 0 0
33.18, 2.700, 34, 0 2 2
35.53, 2.526, 39, 2 0 0
37.28, 2.412, 55, 1 0 4
37.78, 2.381, 100, 1 2 2


Structure and calculated X-ray powder pattern of SmDyCo10 (a structure optimized by DFT (GGA-PBE); Cu Kα X-rays).
Lines closer than 0.1° are merged.

Lattice parameters (Å, degrees): 3.9436 4.9443 8.5797 90.00 90.00 90.00
Space group Pmmm (No. 47)
Inequivalent atoms, fractional coordinates:
Sm  0.0000  0.0000  0.0000 [1 per cell]
Dy  0.0000  0.5000  0.5000 [1 per cell]
Co  0.0000  0.0000  0.3364 [2 per cell]
Co  0.0000  0.5000  0.1712 [2 per cell]
Co  0.5000  0.0000  0.5000 [1 per cell]
Co  0.5000  0.2518  0.2525 [4 per cell]
Co  0.5000  0.5000  0.0000 [1 per cell]

Largest 6 diffraction maxima, by angle, 2θ = 10–90°:
2θ/deg, d_spacing, I (rel.), h k l
30.81, 2.902, 52, 1 1 1
36.31, 2.474, 33, 0 2 0
42.17, 2.143, 36, 0 0 4
43.16, 2.096, 100, 1 2 0
46.03, 1.972, 25, 2 0 0
70.05, 1.343, 22, 1 3 3


Structure and calculated X-ray powder pattern of K2Pa2MnN6 (a structure optimized by DFT (GGA-PBE); Cu Kα X-rays).
Lines closer than 0.1° are merged.

Lattice parameters (Å, degrees): 5.7859 9.9819 6.7340 90.00 103.41 90.00
Space group C2/m (No. 12)
Inequivalent atoms, fractional coordinates:
K  0.0000  0.1566  0.0000 [4 per cell]
Pa  0.0000  0.3356  0.5000 [4 per cell]
Mn  0.0000  0.0000  0.5000 [2 per cell]
N  0.1978  0.1571  0.6561 [8 per cell]
N  0.2480  0.5000  0.6581 [4 per cell]

Largest 6 diffraction maxima, by angle, 2θ = 10–90°:
2θ/deg, d_spacing, I (rel.), h k l
13.52, 6.550, 100, 0 0 1
27.23, 3.275, 27, 0 0 2
31.23, 2.864, 21, 1 3 0
32.62, 2.745, 33, 1 3 -1
35.66, 2.518, 36, 1 3 1
36.97, 2.431, 17, 2 0 -2


Structure and calculated X-ray powder pattern of PrHo4ErTm2 (a structure optimized by DFT (GGA-PBE); Cu Kα X-rays).
Lines closer than 0.1° are merged.

Lattice parameters (Å, degrees): 13.5165 13.2130 6.7504 90.00 119.95 90.00
Space group C2/c (No. 15)
Inequivalent atoms, fractional coordinates:
Pr  0.2500  0.2500  0.0000 [4 per cell]
Ho  0.0000  0.2493  0.0024 [8 per cell]
Ho  0.2495  0.0028  0.5004 [8 per cell]
Er  0.0000  0.5000  0.0000 [4 per cell]
Tm  0.0000  0.0000  0.0000 [4 per cell]
Tm  0.2500  0.2500  0.5000 [4 per cell]

Largest 6 diffraction maxima, by angle, 2θ = 10–90°:
2θ/deg, d_spacing, I (rel.), h k l
26.99, 3.303, 46, 0 4 0
30.56, 2.925, 100, 4 0 0
41.22, 2.190, 89, 4 4 0
54.31, 1.689, 20, 4 0 2
61.68, 1.504, 27, 4 4 2
64.83, 1.438, 23, 4 8 0


Structure and calculated X-ray powder pattern of Pm3Sm4Dy2 (a structure optimized by DFT (GGA-PBE); Cu Kα X-rays).
Lines closer than 0.1° are merged.

Lattice parameters (Å, degrees): 3.6254 3.6254 26.8517 90.00 90.00 120.00
Space group P3m1 (No. 156)
Inequivalent atoms, fractional coordinates:
Pm  0.0000  0.0000  0.0000 [1 per cell]
Pm  0.0000  0.0000  0.3390 [1 per cell]
Pm  0.6667  0.3333  0.6722 [1 per cell]
Sm  0.0000  0.0000  0.5609 [1 per cell]
Sm  0.0000  0.0000  0.7836 [1 per cell]
Sm  0.6667  0.3333  0.2319 [1 per cell]
Sm  0.6667  0.3333  0.4523 [1 per cell]
Dy  0.6667  0.3333  0.1053 [1 per cell]
Dy  0.6667  0.3333  0.8898 [1 per cell]

Largest 6 diffraction maxima, by angle, 2θ = 10–90°:
2θ/deg, d_spacing, I (rel.), h k l
28.43, 3.140, 50, 1 0 0
29.95, 2.984, 52, 0 0 9
31.46, 2.844, 70, 1 0 4
33.05, 2.710, 100, 0 1 5
50.34, 1.813, 39, 1 1 0
59.69, 1.549, 44, 1 1 9


Structure and calculated X-ray powder pattern of ZrSn4Pd15 (a structure optimized by DFT (GGA-PBE); Cu Kα X-rays).
Lines closer than 0.1° are merged.

Lattice parameters (Å, degrees): 4.0384 4.0384 20.2103 90.00 90.00 90.00
Space group P4/mmm (No. 123)
Inequivalent atoms, fractional coordinates:
Zr  0.0000  0.0000  0.0000 [1 per cell]
Sn  0.0000  0.0000  0.2010 [2 per cell]
Sn  0.0000  0.0000  0.4006 [2 per cell]
Pd  0.0000  0.5000  0.0988 [4 per cell]
Pd  0.0000  0.5000  0.2997 [4 per cell]
Pd  0.0000  0.5000  0.5000 [2 per cell]
Pd  0.5000  0.5000  0.0000 [1 per cell]
Pd  0.5000  0.5000  0.1994 [2 per cell]
Pd  0.5000  0.5000  0.3995 [2 per cell]

Largest 5 diffraction maxima, by angle, 2θ = 10–90°:
2θ/deg, d_spacing, I (rel.), h k l
38.60, 2.332, 100, 1 1 5
44.88, 2.020, 49, 2 0 0
65.34, 1.428, 31, 2 2 0
78.53, 1.218, 37, 3 1 5
82.77, 1.166, 11, 2 2 10


Repeat the fifth record exactly.
Structure and calculated X-ray powder pattern of Pm3Sm4Dy2 (a structure optimized by DFT (GGA-PBE); Cu Kα X-rays).
Lines closer than 0.1° are merged.

Lattice parameters (Å, degrees): 3.6254 3.6254 26.8517 90.00 90.00 120.00
Space group P3m1 (No. 156)
Inequivalent atoms, fractional coordinates:
Pm  0.0000  0.0000  0.0000 [1 per cell]
Pm  0.0000  0.0000  0.3390 [1 per cell]
Pm  0.6667  0.3333  0.6722 [1 per cell]
Sm  0.0000  0.0000  0.5609 [1 per cell]
Sm  0.0000  0.0000  0.7836 [1 per cell]
Sm  0.6667  0.3333  0.2319 [1 per cell]
Sm  0.6667  0.3333  0.4523 [1 per cell]
Dy  0.6667  0.3333  0.1053 [1 per cell]
Dy  0.6667  0.3333  0.8898 [1 per cell]

Largest 6 diffraction maxima, by angle, 2θ = 10–90°:
2θ/deg, d_spacing, I (rel.), h k l
28.43, 3.140, 50, 1 0 0
29.95, 2.984, 52, 0 0 9
31.46, 2.844, 70, 1 0 4
33.05, 2.710, 100, 0 1 5
50.34, 1.813, 39, 1 1 0
59.69, 1.549, 44, 1 1 9


What is the formula in the third record? K2Pa2MnN6


Which formula does entry 3 have? K2Pa2MnN6